# 1
The following is a theoretical powder XRD pattern of ZnCu3Mo4O12. It was derived from a DFT-relaxed cell (PBE+U, the Materials Project), using Cu Kα X-rays.

Main lines, low angle first (5° ≤ 2θ ≤ 70°):
| 2θ (°) | d (Å) | I (rel.) |
| --- | --- | --- |
| 23.2 | 3.829 | 6 |
| 33.1 | 2.707 | 100 |
| 37.1 | 2.422 | 3 |
| 44.3 | 2.047 | 2 |
| 47.5 | 1.914 | 24 |
| 53.5 | 1.712 | 3 |
| 59.1 | 1.563 | 47 |
| 69.4 | 1.354 | 12 |

Crystal structure
Cell: 7.658 7.658 7.658 Å, 90.00 90.00 90.00°
Space group Im-3 (No. 204)
Asymmetric unit:
Zn 0.000 0.000 0.000 [2 per cell]
Cu 0.000 0.000 0.500 [6 per cell]
Mo 0.250 0.250 0.250 [8 per cell]
O 0.000 0.170 0.306 [24 per cell]

---

# 2
The following is a theoretical powder XRD pattern of MgMn6O9F3. It was derived from a DFT-relaxed cell (PBE+U, the Materials Project), using Cu Kα X-rays.

Main lines, low angle first (5° ≤ 2θ ≤ 70°):
| 2θ (°) | d (Å) | I (rel.) |
| --- | --- | --- |
| 22.3 | 3.992 | 100 |
| 27.6 | 3.235 | 59 |
| 34.9 | 2.567 | 37 |
| 35.1 | 2.556 | 29 |
| 45.4 | 1.996 | 17 |
| 47.8 | 1.904 | 22 |
| 48.2 | 1.890 | 28 |
| 53.5 | 1.712 | 16 |
| 53.9 | 1.701 | 24 |
| 63.3 | 1.470 | 19 |

Crystal structure
Cell: 5.094 8.931 5.184 Å, 90.00 101.95 90.00°
Space group Pm (No. 6)
Asymmetric unit:
Mg 0.000 0.000 0.000 [1 per cell]
Mn 0.502 0.000 0.954 [1 per cell]
Mn 0.521 0.335 0.951 [2 per cell]
Mn 0.960 0.175 0.502 [2 per cell]
Mn 0.993 0.500 0.481 [1 per cell]
O 0.166 0.000 0.684 [1 per cell]
O 0.202 0.330 0.654 [2 per cell]
O 0.369 0.500 0.083 [1 per cell]
O 0.692 0.150 0.822 [2 per cell]
O 0.794 0.000 0.283 [1 per cell]
O 0.805 0.333 0.277 [2 per cell]
F 0.296 0.146 0.132 [2 per cell]
F 0.723 0.500 0.759 [1 per cell]